1.
Starting from a DFT-relaxed cell (PBE, Alexandria), the powder diffraction line list of Y2Ho8Er3 was simulated for Cu Kα (λ = 1.5418 Å).
Peak positions follow from Bragg's law for the DFT cell and can differ from measured ones.

The 12 most intense peaks (2θ from 10° to 90°), by angle:
index, d (Å), Position (°2θ), Rel. int.
6 0 0, 3.698, 24.06, 34
0 2 1, 2.860, 31.28, 100
5 1 1, 2.801, 31.95, 42
2 0 -2, 2.785, 32.14, 48
6 0 1, 2.753, 32.52, 39
6 2 0, 2.490, 36.07, 12
4 2 1, 2.417, 37.20, 15
4 0 2, 2.225, 40.55, 17
0 4 0, 1.685, 54.45, 10
2 2 -3, 1.622, 56.76, 17
12 2 1, 1.468, 63.36, 14
2 4 -2, 1.442, 64.65, 12

Atomic structure:
```
data_Y2Ho8Er3
_cell_length_a 22.8533
_cell_length_b 6.7401
_cell_length_c 5.5707
_cell_angle_alpha 90.00
_cell_angle_beta 104.06
_cell_angle_gamma 90.00
_space_group_name_H-M_alt 'C 1 2/m 1'
_space_group_IT_number 12
_space_group_name_Hall '-C 2y'
loop_
_atom_site_label
_atom_site_type_symbol
_atom_site_fract_x
_atom_site_fract_y
_atom_site_fract_z
_atom_site_occupancy
Y1 Y 0.2233 0.0000 0.2233 1
Ho1 Ho 0.0746 0.0000 0.0744 1
Ho2 Ho 0.1512 0.2383 0.6512 1
Ho3 Ho 0.1800 0.5000 0.1800 1
Er1 Er 0.0000 0.2381 0.5000 1
Er2 Er 0.0000 0.5000 0.0000 1
```

2.
Starting from a DFT-relaxed cell (PBE, Alexandria), the powder diffraction line list of Hg2BiPd7 was simulated for Cu Kα (λ = 1.5418 Å).
Peak positions follow from Bragg's law for the DFT cell and can differ from measured ones.

The 12 most intense peaks (2θ from 10° to 90°), by angle:
index, d (Å), Position (°2θ), Rel. int.
1 1 0, 6.578, 13.46, 23
0 0 1, 4.281, 20.75, 31
2 0 0, 3.717, 23.94, 33
1 1 1, 3.588, 24.82, 43
2 4 0, 2.560, 35.06, 25
1 5 1, 2.247, 40.13, 100
0 0 2, 2.140, 42.22, 34
3 1 1, 2.120, 42.64, 52
2 6 0, 1.988, 45.63, 22
2 4 2, 1.642, 55.99, 16
2 6 2, 1.457, 63.89, 21
5 5 1, 1.258, 75.62, 22

Atomic structure:
```
data_Hg2BiPd7
_cell_length_a 7.4340
_cell_length_b 14.1186
_cell_length_c 4.2807
_cell_angle_alpha 90.00
_cell_angle_beta 90.00
_cell_angle_gamma 90.00
_space_group_name_H-M_alt 'C m m m'
_space_group_IT_number 65
_space_group_name_Hall '-C 2 2'
loop_
_atom_site_label
_atom_site_type_symbol
_atom_site_fract_x
_atom_site_fract_y
_atom_site_fract_z
_atom_site_occupancy
Hg1 Hg 0.0000 0.1966 0.0000 1
Bi1 Bi 0.0000 0.5000 0.5000 1
Pd1 Pd 0.0000 0.0000 0.0000 1
Pd2 Pd 0.0000 0.3117 0.5000 1
Pd3 Pd 0.1826 0.3999 0.0000 1
```

3.
Starting from a DFT-relaxed cell (PBE, Alexandria), the powder diffraction line list of ZnGeCl4 was simulated for Cu Kα (λ = 1.5418 Å).
Peak positions follow from Bragg's law for the DFT cell and can differ from measured ones.

The 12 most intense peaks (2θ from 10° to 90°), by angle:
index, d (Å), Position (°2θ), Rel. int.
0 0 4, 6.497, 13.63, 100
1 1 -1, 3.476, 25.63, 10
1 1 1, 3.431, 25.97, 8
1 1 -3, 3.290, 27.10, 16
1 1 -4, 3.137, 28.46, 28
1 1 -5, 2.964, 30.16, 13
2 0 4, 2.758, 32.47, 22
1 1 -7, 2.607, 34.40, 11
1 1 -8, 2.438, 36.87, 12
2 0 -8, 2.385, 37.72, 8
2 0 8, 2.173, 41.55, 16
2 0 -12, 1.872, 48.63, 14

Atomic structure:
```
data_ZnGeCl4
_cell_length_a 6.3871
_cell_length_b 4.1636
_cell_length_c 26.0995
_cell_angle_alpha 90.00
_cell_angle_beta 95.28
_cell_angle_gamma 90.00
_space_group_name_H-M_alt 'P 1 21/c 1'
_space_group_IT_number 14
_space_group_name_Hall '-P 2ybc'
loop_
_atom_site_label
_atom_site_type_symbol
_atom_site_fract_x
_atom_site_fract_y
_atom_site_fract_z
_atom_site_occupancy
Zn1 Zn 0.2438 0.0103 0.3752 1
Ge1 Ge 0.2560 0.6259 0.6245 1
Cl1 Cl 0.0608 0.1898 0.6729 1
Cl2 Cl 0.0929 0.2012 0.9370 1
Cl3 Cl 0.3948 0.2009 0.8135 1
Cl4 Cl 0.4522 0.1896 0.5764 1
```

4.
Starting from a DFT-relaxed cell (PBE, Alexandria), the powder diffraction line list of Na2MgSiO4 was simulated for Cu Kα (λ = 1.5418 Å).
Peak positions follow from Bragg's law for the DFT cell and can differ from measured ones.

The 12 most intense peaks (2θ from 10° to 90°), by angle:
index, d (Å), Position (°2θ), Rel. int.
0 1 1, 4.370, 20.32, 27
1 0 0, 4.252, 20.89, 31
0 1 2, 2.976, 30.03, 75
0 2 0, 2.787, 32.11, 60
2 0 -2, 2.667, 33.60, 85
1 1 1, 2.599, 34.51, 100
1 2 -1, 2.470, 36.37, 21
2 2 -2, 1.927, 47.16, 15
0 0 4, 1.760, 51.96, 24
0 3 2, 1.643, 55.96, 39
3 1 -1, 1.529, 60.57, 23
3 1 -5, 1.524, 60.76, 22

Atomic structure:
```
data_Na2MgSiO4
_cell_length_a 5.3349
_cell_length_b 5.5743
_cell_length_c 8.8160
_cell_angle_alpha 90.00
_cell_angle_beta 127.02
_cell_angle_gamma 90.00
_space_group_name_H-M_alt 'P 1 c 1'
_space_group_IT_number 7
_space_group_name_Hall 'P -2yc'
loop_
_atom_site_label
_atom_site_type_symbol
_atom_site_fract_x
_atom_site_fract_y
_atom_site_fract_z
_atom_site_occupancy
Na1 Na 0.0000 0.1666 0.0000 1
Na2 Na 0.2516 0.3174 0.7551 1
Mg1 Mg 0.7363 0.3141 0.2491 1
Si1 Si 0.4848 0.1875 0.5018 1
O1 O 0.1490 0.2128 0.4720 1
O2 O 0.4364 0.2900 0.3096 1
O3 O 0.5892 0.0992 0.0324 1
O4 O 0.7551 0.3451 0.6927 1
```

5.
Starting from a DFT-relaxed cell (PBE, Alexandria), the powder diffraction line list of Nd3Dy4Er was simulated for Cu Kα (λ = 1.5418 Å).
Peak positions follow from Bragg's law for the DFT cell and can differ from measured ones.

The 12 most intense peaks (2θ from 10° to 90°), by angle:
index, d (Å), Position (°2θ), Rel. int.
1 0 1, 3.370, 26.45, 20
1 1 2, 2.974, 30.05, 54
0 4 0, 2.923, 30.58, 81
0 2 4, 2.845, 31.44, 100
1 2 3, 2.466, 36.43, 31
1 3 2, 2.415, 37.24, 31
1 5 2, 1.862, 48.91, 14
2 0 0, 1.744, 52.47, 13
0 6 4, 1.673, 54.88, 21
2 4 0, 1.498, 61.95, 15
2 2 4, 1.487, 62.45, 28
2 6 4, 1.207, 79.36, 14

Atomic structure:
```
data_Nd3Dy4Er
_cell_length_a 3.4883
_cell_length_b 11.6994
_cell_length_c 13.0266
_cell_angle_alpha 90.00
_cell_angle_beta 90.00
_cell_angle_gamma 90.00
_space_group_name_H-M_alt 'I m m m'
_space_group_IT_number 71
_space_group_name_Hall '-I 2 2'
loop_
_atom_site_label
_atom_site_type_symbol
_atom_site_fract_x
_atom_site_fract_y
_atom_site_fract_z
_atom_site_occupancy
Nd1 Nd 0.0000 0.0000 0.0000 1
Nd2 Nd 0.0000 0.5000 0.2429 1
Dy1 Dy 0.0000 0.2450 0.3654 1
Er1 Er 0.0000 0.0000 0.5000 1
```